Cs2P3Se6: computed powder diffraction line list (λ = 1.5418 Å (Cu Kα)), based on a structure optimized by DFT (PBE).
Lines closer than 0.1° are merged.

Peak list (10 most intense, 2θ = 10–90°, in order of rising 2θ)
| d [Å] | intensity | hkl |
| --- | --- | --- |
| 3.869 | 13 | 2 2 -2 |
| 3.472 | 79 | 2 2 0 |
| 3.151 | 100 | 2 2 -4 |
| 3.044 | 14 | 1 1 3 |
| 2.759 | 29 | 4 0 -4 |
| 2.712 | 30 | 0 4 0 |
| 2.057 | 13 | 0 4 4 |
| 1.934 | 31 | 4 4 -4 |
| 1.638 | 13 | 2 6 -4 |
| 1.619 | 11 | 6 2 -8 |

Atomic structure:
```
data_Cs2P3Se6
_cell_length_a 11.1711
_cell_length_b 10.8484
_cell_length_c 15.6127
_cell_angle_alpha 90.00
_cell_angle_beta 126.02
_cell_angle_gamma 90.00
_symmetry_space_group_name_H-M 'P 1 21/c 1'
_symmetry_Int_Tables_number 14
_symmetry_space_group_name_Hall '-P 2ybc'
loop_
_atom_site_label
_atom_site_fract_x
_atom_site_fract_y
_atom_site_fract_z
Cs1 0.1548 0.9996 0.1784
Cs2 0.2559 0.0010 0.7460
P1 0.1397 0.2009 0.4444
P2 0.3526 0.1832 0.0569
P3 0.4958 0.0492 0.5619
Se1 0.0020 0.2120 0.4993
Se2 0.0332 0.2450 0.2796
Se3 0.2470 0.0029 0.4859
Se4 0.2987 0.5073 0.5106
Se5 0.4588 0.2348 0.2197
Se6 0.4846 0.2429 0.4954
```